[1]
The following is a theoretical powder X-ray diffraction pattern of Sr3La3Zn2RuO12. It was derived from a DFT-relaxed cell (GGA-PBE, Alexandria), using Cu Kα.

Crystal structure
```
Sr3La3Zn2RuO12
1.0
6.3691 -2.7979 0.0000
6.3691 2.7979 0.0000
-6.3189 0.0000 8.4456
Sr La Zn Ru O
3 3 2 1 12
direct
0.0000 0.0000 0.0000
0.0532 0.0532 0.6721
0.7174 0.7174 0.0124
0.3288 0.3288 0.6662
0.3963 0.3963 0.3590
0.6816 0.6816 0.3714
0.0166 0.0166 0.3423
0.6870 0.6870 0.6801
0.3668 0.3668 0.0138
0.0315 0.5219 0.8515
0.2224 0.2224 0.0438
0.2228 0.7077 0.1788
0.2325 0.2325 0.3815
0.3594 0.8550 0.5074
0.5084 0.5084 0.9809
0.5118 0.5118 0.6726
0.5219 0.0315 0.8515
0.7077 0.2228 0.1788
0.8400 0.8400 0.3257
0.8550 0.3594 0.5074
0.8587 0.8587 0.6636
```

Largest 10 diffraction maxima, in order of rising 2θ, 2θ = 10–90°:
2theta	Rel. int.
30.8	100
30.9	99
31.8	74
32.0	71
42.6	23
43.0	27
45.7	69
54.3	21
56.2	36
56.3	19

***

[2]
The following is a theoretical powder X-ray diffraction pattern of KRh5. It was derived from a DFT-relaxed cell (GGA-PBE, Alexandria), using Cu Kα.

Crystal structure
```
KRh5
1.0
6.1217 -1.3576 0.0000
6.1217 1.3576 0.0000
-1.0561 0.0000 6.4680
K Rh
1 5
direct
0.0000 0.0000 0.0000
0.2602 0.2602 0.2631
0.3161 0.3161 0.6531
0.6325 0.6325 0.5134
0.7275 0.7275 0.9261
0.9482 0.9482 0.4494
```

Largest 10 diffraction maxima, in order of rising 2θ, 2θ = 10–90°:
2theta	Rel. int.
13.7	63
14.7	75
34.7	25
40.0	72
41.3	74
42.2	43
43.4	34
44.2	32
45.0	100
67.8	22

***

[3]
The following is a theoretical powder X-ray diffraction pattern of Dy5Er4Tm. It was derived from a DFT-relaxed cell (GGA-PBE, Alexandria), using Cu Kα.

Crystal structure
```
Dy5Er4Tm
1.0
3.5242 0.0000 0.0000
1.7446 6.4808 0.0000
0.0461 1.8378 13.6223
Dy Er Tm
5 4 1
direct
0.0000 0.0000 0.0000
0.0378 0.9163 0.3831
0.3167 0.3743 0.4148
0.6833 0.6257 0.5852
0.9622 0.0837 0.6169
0.3162 0.3306 0.7911
0.3780 0.2017 0.1919
0.6220 0.7983 0.8081
0.6838 0.6694 0.2089
0.5000 0.5000 0.0000
```

Largest 10 diffraction maxima, in order of rising 2θ, 2θ = 10–90°:
2theta	Rel. int.
29.9	28
31.9	53
32.3	100
32.9	77
33.0	18
43.4	11
49.2	14
56.8	20
57.8	17
59.9	12

***

[4]
The following is a theoretical powder X-ray diffraction pattern of Ac2Al3Pt. It was derived from a DFT-relaxed cell (GGA-PBE, Alexandria), using Cu Kα.

Crystal structure
```
Ac2Al3Pt
1.0
-2.1775 4.6420 3.9668
2.1775 -4.6420 3.9668
2.1775 4.6420 -3.9668
Ac Al Pt
2 3 1
direct
0.2393 0.0000 0.2393
0.7607 0.0000 0.7607
0.3238 0.3238 0.0000
0.6522 0.6522 0.0000
0.8253 0.3253 0.5000
0.1499 0.6499 0.5000
```

Largest 10 diffraction maxima, in order of rising 2θ, 2θ = 10–90°:
2theta	Rel. int.
14.7	25
22.4	20
23.3	26
29.6	46
30.3	100
38.8	17
39.9	33
41.5	15
51.8	20
56.9	23

***

[5]
The following is a theoretical powder X-ray diffraction pattern of BaTl4Br6. It was derived from a DFT-relaxed cell (GGA-PBE, Alexandria), using Cu Kα.

Crystal structure
```
BaTl4Br6
1.0
5.1348 -4.2849 0.0000
5.1348 4.2849 0.0000
-2.7971 0.0000 9.8258
Ba Tl Br
1 4 6
direct
0.0000 0.0000 0.0000
0.3498 0.3498 0.2802
0.3979 0.9329 0.6381
0.7593 0.7593 0.2423
0.9329 0.3979 0.6381
0.2894 0.8428 0.2868
0.4380 0.4380 0.5978
0.4918 0.9795 0.9706
0.8428 0.2894 0.2868
0.9029 0.9029 0.6686
0.9795 0.4918 0.9706
```

Largest 10 diffraction maxima, in order of rising 2θ, 2θ = 10–90°:
2theta	Rel. int.
17.7	34
18.0	50
22.6	38
27.2	88
27.4	100
27.6	89
35.0	41
35.3	75
35.9	70
42.2	35

***

[6]
The following is a theoretical powder X-ray diffraction pattern of Zr2AlRh. It was derived from a DFT-relaxed cell (GGA-PBE, Alexandria), using Cu Kα.

Crystal structure
```
Zr2AlRh
1.0
2.9546 -3.9573 0.0000
2.9546 3.9573 0.0000
0.0000 0.0000 3.1739
Zr Al Rh
2 1 1
direct
0.0000 0.5000 0.0000
0.5000 0.0000 0.0000
0.0000 0.0000 0.5000
0.5000 0.5000 0.5000
```

Largest 10 diffraction maxima, in order of rising 2θ, 2θ = 10–90°:
2theta	Rel. int.
18.7	32
34.0	15
36.3	100
38.0	88
41.8	67
45.9	25
58.1	12
63.8	37
71.6	26
74.8	23

***

[7]
The following is a theoretical powder X-ray diffraction pattern of Cu2SiPd6. It was derived from a DFT-relaxed cell (GGA-PBE, Alexandria), using Cu Kα.

Crystal structure
```
Cu2SiPd6
1.0
2.8562 0.0000 0.0000
0.0000 6.2633 3.6231
0.0000 -6.2633 3.6231
Cu Si Pd
2 1 6
direct
0.0000 0.1668 0.8332
0.0000 0.8332 0.1668
0.5000 0.5011 0.5011
0.0000 0.2307 0.4998
0.0000 0.4998 0.2307
0.0000 0.7703 0.7703
0.5000 0.1173 0.1173
0.5000 0.5000 0.8825
0.5000 0.8825 0.5000
```

Largest 10 diffraction maxima, in order of rising 2θ, 2θ = 10–90°:
2theta	Rel. int.
38.0	49
40.2	100
42.8	34
43.3	54
50.0	13
60.6	11
65.3	10
73.7	15
78.1	11
81.7	16

***

[8]
The following is a theoretical powder X-ray diffraction pattern of Mn6Pt7. It was derived from a DFT-relaxed cell (GGA-PBE, Alexandria), using Cu Kα.

Crystal structure
```
Mn6Pt7
1.0
2.6660 1.5392 8.8117
-2.6660 1.5392 8.8117
0.0000 -3.0785 8.8117
Mn Pt
6 7
direct
0.0546 0.0546 0.0546
0.1611 0.1611 0.1611
0.3327 0.3327 0.3327
0.6673 0.6673 0.6673
0.8389 0.8389 0.8389
0.9454 0.9454 0.9454
0.0822 0.5829 0.5829
0.4171 0.4171 0.9178
0.4171 0.9178 0.4171
0.5000 0.5000 0.5000
0.5829 0.0822 0.5829
0.5829 0.5829 0.0822
0.9178 0.4171 0.4171
```

Largest 10 diffraction maxima, in order of rising 2θ, 2θ = 10–90°:
2theta	Rel. int.
19.5	84
20.2	94
39.2	73
39.5	94
39.6	48
41.0	57
42.7	100
46.1	88
70.7	44
85.1	43